# 1
# LiLaTi2O6
Calculated powder XRD pattern, Cu Kα (λ = 1.5418 Å). Input: a cell relaxed with GGA-PBE.

```
data_LiLaTi2O6
_cell_length_a 5.5519
_cell_length_b 5.5594
_cell_length_c 7.7677
_cell_angle_alpha 90.00
_cell_angle_beta 90.00
_cell_angle_gamma 90.00
_space_group_name_H-M_alt 'P 1'
_space_group_IT_number 1
loop_
_space_group_symop_operation_xyz
'x,y,z'
loop_
_atom_site_label
_atom_site_type_symbol
_atom_site_fract_x
_atom_site_fract_y
_atom_site_fract_z
_atom_site_occupancy
Li1 Li 0.0000 0.0000 0.0000 1
Li2 Li 0.0000 0.0000 0.5000 1
La1 La 0.5000 0.4909 0.2500 1
La2 La 0.5000 0.5091 0.7500 1
Ti1 Ti 0.0000 0.5000 0.0000 1
Ti2 Ti 0.0000 0.5000 0.5000 1
Ti3 Ti 0.5000 0.0000 0.0000 1
Ti4 Ti 0.5000 0.0000 0.5000 1
O1 O 0.0000 0.4622 0.2500 1
O2 O 0.0000 0.5378 0.7500 1
O3 O 0.2500 0.2495 0.9803 1
O4 O 0.2500 0.7505 0.4803 1
O5 O 0.2690 0.2686 0.5178 1
O6 O 0.2690 0.7314 0.0178 1
O7 O 0.5000 0.0446 0.2500 1
O8 O 0.5000 0.9554 0.7500 1
O9 O 0.7310 0.2686 0.9822 1
O10 O 0.7310 0.7314 0.4822 1
O11 O 0.7500 0.2495 0.5197 1
O12 O 0.7500 0.7505 0.0197 1
```

Largest 10 diffraction maxima, in order of rising 2θ, 2θ from 10° to 80°:
- 15.95 deg, intensity 100
- 28.03 deg, intensity 54
- 32.23 deg, intensity 40
- 32.42 deg, intensity 73
- 36.15 deg, intensity 23
- 39.90 deg, intensity 18
- 43.23 deg, intensity 36
- 46.22 deg, intensity 36
- 57.58 deg, intensity 29
- 67.87 deg, intensity 19

=====

# 2
# BaP4Pd2
Calculated powder XRD pattern, Cu Kα (λ = 1.5418 Å). Input: a cell relaxed with GGA-PBE.

```
data_BaP4Pd2
_cell_length_a 6.8942
_cell_length_b 6.8942
_cell_length_c 5.9996
_cell_angle_alpha 90.00
_cell_angle_beta 90.00
_cell_angle_gamma 90.00
_space_group_name_H-M_alt 'P 1'
_space_group_IT_number 1
loop_
_space_group_symop_operation_xyz
'x,y,z'
loop_
_atom_site_label
_atom_site_type_symbol
_atom_site_fract_x
_atom_site_fract_y
_atom_site_fract_z
_atom_site_occupancy
Ba1 Ba 0.0000 0.0000 0.0000 1
Ba2 Ba 0.5000 0.5000 0.5000 1
P1 P 0.0000 0.2260 0.5000 1
P2 P 0.0000 0.7740 0.5000 1
P3 P 0.2260 0.0000 0.5000 1
P4 P 0.2740 0.5000 0.0000 1
P5 P 0.5000 0.2740 0.0000 1
P6 P 0.5000 0.7260 0.0000 1
P7 P 0.7260 0.5000 0.0000 1
P8 P 0.7740 0.0000 0.5000 1
Pd1 Pd 0.0000 0.5000 0.2500 1
Pd2 Pd 0.0000 0.5000 0.7500 1
Pd3 Pd 0.5000 0.0000 0.2500 1
Pd4 Pd 0.5000 0.0000 0.7500 1
```

Largest 10 diffraction maxima, in order of rising 2θ, 2θ from 10° to 80°:
- 25.85 deg, intensity 100
- 32.65 deg, intensity 58
- 35.13 deg, intensity 97
- 36.88 deg, intensity 17
- 50.07 deg, intensity 24
- 51.84 deg, intensity 51
- 53.14 deg, intensity 22
- 54.71 deg, intensity 13
- 60.01 deg, intensity 17
- 77.43 deg, intensity 22

=====

# 3
# Na3SbF6
Calculated powder XRD pattern, Cu Kα (λ = 1.5418 Å). Input: a cell relaxed with GGA-PBE.

```
data_Na3SbF6
_cell_length_a 6.2289
_cell_length_b 6.2289
_cell_length_c 6.2289
_cell_angle_alpha 60.00
_cell_angle_beta 60.00
_cell_angle_gamma 60.00
_space_group_name_H-M_alt 'P 1'
_space_group_IT_number 1
loop_
_space_group_symop_operation_xyz
'x,y,z'
loop_
_atom_site_label
_atom_site_type_symbol
_atom_site_fract_x
_atom_site_fract_y
_atom_site_fract_z
_atom_site_occupancy
Na1 Na 0.0000 0.0000 0.0000 1
Na2 Na 0.2500 0.2500 0.2500 1
Na3 Na 0.7500 0.7500 0.7500 1
Sb1 Sb 0.5000 0.5000 0.5000 1
F1 F 0.2526 0.2526 0.7474 1
F2 F 0.2526 0.7474 0.2526 1
F3 F 0.2526 0.7474 0.7474 1
F4 F 0.7474 0.2526 0.2526 1
F5 F 0.7474 0.2526 0.7474 1
F6 F 0.7474 0.7474 0.2526 1
```

Largest 10 diffraction maxima, in order of rising 2θ, 2θ from 10° to 80°:
- 17.44 deg, intensity 91
- 20.16 deg, intensity 96
- 28.66 deg, intensity 100
- 33.75 deg, intensity 50
- 40.98 deg, intensity 76
- 44.85 deg, intensity 21
- 46.08 deg, intensity 40
- 50.77 deg, intensity 41
- 54.10 deg, intensity 18
- 59.35 deg, intensity 44